No. 1
Starting from DFT lattice parameters and positions (PBE), the powder diffraction line list of Tb2HoTl2Cd2 was computed for Cu Kα, 1.54184 Å.
Lines closer than 0.1° are merged.

Cell lengths 9.186, 9.186, 9.186 Å; angles 31.63, 31.63, 31.63 degrees
Element x y z (fractional)
Tb  0.132  0.132  0.132
Tb  0.868  0.868  0.868
Ho  0.000  0.000  0.000
Tl  0.271  0.271  0.271
Tl  0.729  0.729  0.729
Cd  0.424  0.424  0.424
Cd  0.576  0.576  0.576

Main lines, sorted by position (2θ = 10–90°):
- 2θ = 31.6°, d 2.831, rel. 100.0
- 2θ = 34.3°, d 2.611, rel. 18.2
- 2θ = 35.9°, d 2.504, rel. 89.5
- 2θ = 48.5°, d 1.875, rel. 30.3
- 2θ = 61.8°, d 1.501, rel. 29.3
- 2θ = 64.5°, d 1.445, rel. 16.2

No. 2
Starting from DFT lattice parameters and positions (PBE), the powder diffraction line list of Ho6Cd3Tc was computed for Cu Kα, 1.54184 Å.
Lines closer than 0.1° are merged.

Cell lengths 9.083, 5.287, 11.318 Å; angles 90.00, 108.68, 90.00 degrees
Element x y z (fractional)
Ho  0.035  0.250  0.415
Ho  0.189  0.750  0.167
Ho  0.283  0.250  0.005
Ho  0.347  0.750  0.831
Ho  0.378  0.250  0.343
Ho  0.393  0.250  0.647
Ho  0.607  0.750  0.353
Ho  0.622  0.750  0.657
Ho  0.653  0.250  0.169
Ho  0.717  0.750  0.995
Ho  0.811  0.250  0.833
Ho  0.965  0.750  0.585
Cd  0.010  0.750  0.871
Cd  0.089  0.250  0.720
Cd  0.271  0.750  0.473
Cd  0.729  0.250  0.527
Cd  0.911  0.750  0.280
Cd  0.990  0.250  0.129
Tc  0.464  0.750  0.098
Tc  0.536  0.250  0.902

Main lines, sorted by position (2θ = 10–90°):
- 2θ = 31.8°, d 2.812, rel. 28.3
- 2θ = 33.2°, d 2.696, rel. 28.0
- 2θ = 33.9°, d 2.644, rel. 69.5
- 2θ = 34.2°, d 2.624, rel. 74.7
- 2θ = 34.6°, d 2.596, rel. 100.0
- 2θ = 48.2°, d 1.887, rel. 19.6

No. 3
Starting from DFT lattice parameters and positions (PBE), the powder diffraction line list of Ho3CdTe2 was computed for Cu Kα, 1.54184 Å.
Lines closer than 0.1° are merged.

Cell lengths 14.153, 13.499, 7.559 Å; angles 78.97, 69.42, 31.61 degrees
Element x y z (fractional)
Ho  0.042  0.540  0.205
Ho  0.121  0.629  0.629
Ho  0.205  0.713  0.042
Ho  0.287  0.795  0.460
Ho  0.371  0.879  0.879
Ho  0.460  0.958  0.287
Ho  0.540  0.042  0.713
Ho  0.629  0.121  0.121
Ho  0.713  0.205  0.540
Ho  0.795  0.287  0.958
Ho  0.879  0.371  0.371
Ho  0.958  0.460  0.795
Cd  0.042  0.042  0.208
Cd  0.208  0.208  0.042
Cd  0.792  0.792  0.958
Cd  0.958  0.958  0.792
Te  0.127  0.127  0.623
Te  0.293  0.293  0.457
Te  0.377  0.377  0.873
Te  0.457  0.457  0.293
Te  0.543  0.543  0.707
Te  0.623  0.623  0.127
Te  0.707  0.707  0.543
Te  0.873  0.873  0.377

Main lines, sorted by position (2θ = 10–90°):
- 2θ = 29.1°, d 3.065, rel. 100.0
- 2θ = 40.8°, d 2.209, rel. 13.4
- 2θ = 41.7°, d 2.167, rel. 50.5
- 2θ = 50.9°, d 1.792, rel. 14.0
- 2θ = 52.4°, d 1.747, rel. 12.9
- 2θ = 68.4°, d 1.371, rel. 22.9

No. 4
Starting from DFT lattice parameters and positions (PBE), the powder diffraction line list of Ho5ThCd6 was computed for Cu Kα, 1.54184 Å.
Lines closer than 0.1° are merged.

Cell lengths 9.143, 9.143, 9.143 Å; angles 146.62, 130.66, 60.89 degrees
Element x y z (fractional)
Ho  0.000  0.000  0.000
Ho  0.169  0.669  0.500
Ho  0.338  0.338  0.000
Ho  0.662  0.662  0.000
Ho  0.831  0.331  0.500
Th  0.500  0.000  0.500
Cd  0.070  0.830  0.241
Cd  0.233  0.500  0.733
Cd  0.411  0.170  0.241
Cd  0.589  0.830  0.759
Cd  0.767  0.500  0.267
Cd  0.930  0.170  0.759

Main lines, sorted by position (2θ = 10–90°):
- 2θ = 33.7°, d 2.662, rel. 100.0
- 2θ = 34.1°, d 2.627, rel. 48.5
- 2θ = 49.0°, d 1.857, rel. 17.2
- 2θ = 59.9°, d 1.544, rel. 18.2
- 2θ = 60.8°, d 1.523, rel. 35.4
- 2θ = 70.8°, d 1.331, rel. 10.9

No. 5
Starting from DFT lattice parameters and positions (PBE), the powder diffraction line list of HoTlCd17 was computed for Cu Kα, 1.54184 Å.
Lines closer than 0.1° are merged.

Cell lengths 7.739, 7.739, 7.739 Å; angles 81.98, 81.98, 81.98 degrees
Element x y z (fractional)
Ho  0.000  0.000  0.000
Tl  0.326  0.326  0.326
Cd  0.017  0.017  0.555
Cd  0.017  0.555  0.017
Cd  0.197  0.653  0.653
Cd  0.291  0.291  0.883
Cd  0.291  0.883  0.291
Cd  0.370  0.675  0.975
Cd  0.370  0.975  0.675
Cd  0.555  0.017  0.017
Cd  0.583  0.583  0.583
Cd  0.653  0.197  0.653
Cd  0.653  0.653  0.197
Cd  0.675  0.370  0.975
Cd  0.675  0.975  0.370
Cd  0.778  0.778  0.778
Cd  0.883  0.291  0.291
Cd  0.975  0.370  0.675
Cd  0.975  0.675  0.370

Main lines, sorted by position (2θ = 10–90°):
- 2θ = 30.5°, d 2.931, rel. 26.5
- 2θ = 31.2°, d 2.870, rel. 16.4
- 2θ = 35.4°, d 2.536, rel. 100.0
- 2θ = 35.5°, d 2.527, rel. 18.6
- 2θ = 36.0°, d 2.497, rel. 24.2
- 2θ = 39.7°, d 2.268, rel. 19.4

No. 6
Starting from DFT lattice parameters and positions (PBE), the powder diffraction line list of HoTlCd3 was computed for Cu Kα, 1.54184 Å.
Lines closer than 0.1° are merged.

Cell lengths 16.270, 16.270, 3.330 Å; angles 90.00, 90.00, 162.78 degrees
Element x y z (fractional)
Ho  0.178  0.822  0.000
Ho  0.822  0.178  0.000
Tl  0.364  0.636  0.500
Tl  0.636  0.364  0.500
Cd  0.076  0.924  0.500
Cd  0.271  0.729  0.500
Cd  0.455  0.545  0.000
Cd  0.545  0.455  0.000
Cd  0.729  0.271  0.500
Cd  0.924  0.076  0.500

Main lines, sorted by position (2θ = 10–90°):
- 2θ = 33.7°, d 2.663, rel. 100.0
- 2θ = 35.0°, d 2.565, rel. 27.4
- 2θ = 35.8°, d 2.508, rel. 83.6
- 2θ = 36.9°, d 2.436, rel. 46.0
- 2θ = 48.1°, d 1.891, rel. 24.7
- 2θ = 67.5°, d 1.387, rel. 25.7

No. 7
Starting from DFT lattice parameters and positions (PBE), the powder diffraction line list of Ho6TlCd was computed for Cu Kα, 1.54184 Å.
Lines closer than 0.1° are merged.

Cell lengths 9.806, 9.806, 9.806 Å; angles 150.22, 150.22, 42.62 degrees
Element x y z (fractional)
Ho  0.115  0.615  0.500
Ho  0.249  0.249  0.000
Ho  0.385  0.885  0.500
Ho  0.615  0.115  0.500
Ho  0.751  0.751  0.000
Ho  0.885  0.385  0.500
Tl  0.500  0.500  0.000
Cd  0.000  0.000  0.000

Main lines, sorted by position (2θ = 10–90°):
- 2θ = 31.8°, d 2.810, rel. 100.0
- 2θ = 35.6°, d 2.520, rel. 38.2
- 2θ = 39.5°, d 2.284, rel. 12.8
- 2θ = 51.3°, d 1.782, rel. 13.6
- 2θ = 54.2°, d 1.692, rel. 20.4
- 2θ = 61.6°, d 1.505, rel. 30.4

No. 8
Starting from DFT lattice parameters and positions (PBE), the powder diffraction line list of Ho6Tl5Cd was computed for Cu Kα, 1.54184 Å.
Lines closer than 0.1° are merged.

Cell lengths 8.473, 8.473, 7.470 Å; angles 90.00, 90.00, 143.20 degrees
Element x y z (fractional)
Ho  0.000  0.000  0.249
Ho  0.000  0.000  0.751
Ho  0.334  0.666  0.248
Ho  0.334  0.666  0.752
Ho  0.666  0.334  0.248
Ho  0.666  0.334  0.752
Tl  0.163  0.837  0.000
Tl  0.167  0.833  0.500
Tl  0.500  0.500  0.500
Tl  0.833  0.167  0.500
Tl  0.837  0.163  0.000
Cd  0.500  0.500  0.000

Main lines, sorted by position (2θ = 10–90°):
- 2θ = 33.5°, d 2.677, rel. 50.9
- 2θ = 33.7°, d 2.659, rel. 100.0
- 2θ = 48.1°, d 1.893, rel. 18.6
- 2θ = 60.0°, d 1.542, rel. 38.5
- 2θ = 60.4°, d 1.532, rel. 18.9
- 2θ = 70.9°, d 1.329, rel. 11.8

No. 9
Starting from DFT lattice parameters and positions (PBE), the powder diffraction line list of Ho3Tl2Cd2 was computed for Cu Kα, 1.54184 Å.
Lines closer than 0.1° are merged.

Cell lengths 11.442, 11.442, 3.391 Å; angles 90.00, 90.00, 156.00 degrees
Element x y z (fractional)
Ho  0.000  0.000  0.000
Ho  0.155  0.845  0.000
Ho  0.845  0.155  0.000
Tl  0.422  0.578  0.500
Tl  0.578  0.422  0.500
Cd  0.284  0.716  0.500
Cd  0.716  0.284  0.500

Main lines, sorted by position (2θ = 10–90°):
- 2θ = 32.7°, d 2.741, rel. 100.0
- 2θ = 33.8°, d 2.654, rel. 92.2
- 2θ = 35.8°, d 2.509, rel. 58.8
- 2θ = 37.8°, d 2.379, rel. 37.8
- 2θ = 53.0°, d 1.726, rel. 38.5
- 2θ = 65.3°, d 1.429, rel. 27.3

No. 10
Starting from DFT lattice parameters and positions (PBE), the powder diffraction line list of HoTlCd was computed for Cu Kα, 1.54184 Å.
Lines closer than 0.1° are merged.

Cell lengths 6.116, 6.116, 7.068 Å; angles 124.88, 124.88, 47.87 degrees
Element x y z (fractional)
Ho  0.007  0.007  0.258
Ho  0.993  0.993  0.742
Tl  0.329  0.329  0.349
Tl  0.671  0.671  0.651
Cd  0.339  0.339  0.872
Cd  0.661  0.661  0.128

Main lines, sorted by position (2θ = 10–90°):
- 2θ = 32.7°, d 2.738, rel. 100.0
- 2θ = 32.8°, d 2.728, rel. 21.5
- 2θ = 35.8°, d 2.509, rel. 75.3
- 2θ = 36.2°, d 2.481, rel. 37.0
- 2θ = 49.6°, d 1.838, rel. 22.2
- 2θ = 64.8°, d 1.439, rel. 33.6

No. 11
Starting from DFT lattice parameters and positions (PBE), the powder diffraction line list of Ho5Tl2Cd2 was computed for Cu Kα, 1.54184 Å.
Lines closer than 0.1° are merged.

Cell lengths 9.042, 9.042, 7.850 Å; angles 90.00, 90.00, 52.75 degrees
Element x y z (fractional)
Ho  0.000  0.000  0.000
Ho  0.046  0.678  0.672
Ho  0.178  0.546  0.172
Ho  0.322  0.954  0.672
Ho  0.454  0.822  0.172
Ho  0.500  0.500  0.500
Ho  0.546  0.178  0.828
Ho  0.678  0.046  0.328
Ho  0.822  0.454  0.828
Ho  0.954  0.322  0.328
Tl  0.130  0.870  0.371
Tl  0.370  0.630  0.871
Tl  0.630  0.370  0.129
Tl  0.870  0.130  0.629
Cd  0.212  0.212  0.000
Cd  0.288  0.288  0.500
Cd  0.712  0.712  0.500
Cd  0.788  0.788  0.000

Main lines, sorted by position (2θ = 10–90°):
- 2θ = 30.3°, d 2.953, rel. 100.0
- 2θ = 31.4°, d 2.852, rel. 42.5
- 2θ = 31.9°, d 2.807, rel. 44.9
- 2θ = 33.4°, d 2.681, rel. 72.3
- 2θ = 35.9°, d 2.504, rel. 47.7
- 2θ = 36.5°, d 2.459, rel. 42.1

No. 12
Starting from DFT lattice parameters and positions (PBE), the powder diffraction line list of HoTmCd4 was computed for Cu Kα, 1.54184 Å.
Lines closer than 0.1° are merged.

Cell lengths 5.879, 5.879, 5.879 Å; angles 60.00, 60.00, 60.00 degrees
Element x y z (fractional)
Ho  0.000  0.000  0.000
Tm  0.250  0.250  0.250
Cd  0.125  0.625  0.625
Cd  0.625  0.125  0.625
Cd  0.625  0.625  0.125
Cd  0.625  0.625  0.625

Main lines, sorted by position (2θ = 10–90°):
- 2θ = 30.4°, d 2.940, rel. 39.2
- 2θ = 35.8°, d 2.507, rel. 100.0
- 2θ = 37.5°, d 2.400, rel. 28.9
- 2θ = 54.0°, d 1.697, rel. 15.8
- 2θ = 57.6°, d 1.600, rel. 33.0
- 2θ = 63.3°, d 1.470, rel. 26.8

Please write out number 12 again, unchanged.
Starting from DFT lattice parameters and positions (PBE), the powder diffraction line list of HoTmCd4 was computed for Cu Kα, 1.54184 Å.
Lines closer than 0.1° are merged.

Cell lengths 5.879, 5.879, 5.879 Å; angles 60.00, 60.00, 60.00 degrees
Element x y z (fractional)
Ho  0.000  0.000  0.000
Tm  0.250  0.250  0.250
Cd  0.125  0.625  0.625
Cd  0.625  0.125  0.625
Cd  0.625  0.625  0.125
Cd  0.625  0.625  0.625

Main lines, sorted by position (2θ = 10–90°):
- 2θ = 30.4°, d 2.940, rel. 39.2
- 2θ = 35.8°, d 2.507, rel. 100.0
- 2θ = 37.5°, d 2.400, rel. 28.9
- 2θ = 54.0°, d 1.697, rel. 15.8
- 2θ = 57.6°, d 1.600, rel. 33.0
- 2θ = 63.3°, d 1.470, rel. 26.8